Computed powder diffractogram
Compound: Li6Ca3Cd5
Radiation: Cu Kα
Structure: DFT lattice parameters and positions (GGA-PBE)
Neutral-atom scattering factors, no anomalous dispersion.

Top 10 peaks for 15 to 90 degrees two-theta, in order of rising 2θ:
| (hkl) | 2θ (°) | intensity |
| --- | --- | --- |
| 1 1 0 | 20.46 | 32 |
| 0 1 3 | 21.46 | 33 |
| 1 0 3 | 26.96 | 100 |
| 0 3 1 | 27.51 | 22 |
| 1 3 0 | 32.64 | 28 |
| 0 3 3 | 33.29 | 23 |
| 1 3 2 | 35.26 | 26 |
| 2 0 0 | 37.34 | 27 |
| 1 4 1 | 41.18 | 19 |
| 0 4 4 | 44.96 | 24 |

Atomic structure:
Cell: 4.8164 10.0130 13.6465 Å, 90.00 90.00 90.00°
Space group Immm (No. 71)
Asymmetric unit:
Li 0.0000 0.1742 0.0000 (multiplicity 4)
Li 0.0000 0.2869 0.3646 (multiplicity 8)
Ca 0.0000 0.0000 0.2057 (multiplicity 4)
Ca 0.0000 0.0000 0.5000 (multiplicity 2)
Cd 0.0000 0.3532 0.1585 (multiplicity 8)
Cd 0.0000 0.5000 0.5000 (multiplicity 2)